Diffraction record for MnInO3. The X-ray powder pattern is theoretical, not measured: it uses a structure optimized by DFT (GGA+U) and Cu Ka.

Top 10 peaks for 2θ from 10° to 90°, sorted by position:
- d 5.831, 15.2 deg, rel. 261
- d 3.010, 29.7 deg, rel. 390
- d 2.915, 30.7 deg, rel. 766
- d 2.675, 33.5 deg, rel. 1000
- d 2.094, 43.2 deg, rel. 364
- d 1.738, 52.7 deg, rel. 433
- d 1.633, 56.3 deg, rel. 277
- d 1.493, 62.2 deg, rel. 330
- d 1.458, 63.9 deg, rel. 224
- d 1.117, 87.3 deg, rel. 230

Structural model:
```
MnInO3
1.0
6.0208 0.0000 0.0000
-3.0104 5.2142 0.0000
0.0000 0.0000 11.6623
Mn In O
6 6 18
direct
0.0000 0.3345 0.0000 Mn
0.0000 0.6655 0.5000 Mn
0.3345 0.0000 0.0000 Mn
0.3345 0.3345 0.5000 Mn
0.6655 0.0000 0.5000 Mn
0.6655 0.6655 0.0000 Mn
0.0000 0.0000 0.2293 In
0.0000 0.0000 0.7293 In
0.3333 0.6667 0.2623 In
0.3333 0.6667 0.7623 In
0.6667 0.3333 0.2623 In
0.6667 0.3333 0.7623 In
0.0000 0.0000 0.0243 O
0.0000 0.0000 0.5243 O
0.0000 0.3126 0.8339 O
0.0000 0.3558 0.1658 O
0.0000 0.6442 0.6658 O
0.0000 0.6874 0.3339 O
0.3126 0.0000 0.8339 O
0.3126 0.3126 0.3339 O
0.3333 0.6667 0.4849 O
0.3333 0.6667 0.9849 O
0.3558 0.0000 0.1658 O
0.3558 0.3558 0.6658 O
0.6442 0.0000 0.6658 O
0.6442 0.6442 0.1658 O
0.6667 0.3333 0.4849 O
0.6667 0.3333 0.9849 O
0.6874 0.0000 0.3339 O
0.6874 0.6874 0.8339 O
```